No. 1
# K3Rb4Au3O2
Simulated X-ray diffraction stick pattern, Cu Ka. Input: a crystal structure in Alexandria, relaxed with PBE.

Largest 6 diffraction maxima, low angle first, 10 to 90 degrees two-theta:
5.493 Å, 16.1 deg, I 24
3.862 Å, 23.0 deg, I 41
2.988 Å, 29.9 deg, I 100
2.800 Å, 32.0 deg, I 32
2.667 Å, 33.6 deg, I 28
1.595 Å, 57.8 deg, I 30

```
data_K3Rb4Au3O2
_symmetry_space_group_name_H-M 'I m m m'
_symmetry_Int_Tables_number 71
_symmetry_space_group_name_Hall '-I 2 2'
_cell_length_a 5.333
_cell_length_b 5.599
_cell_length_c 28.296
_cell_angle_alpha 90.00
_cell_angle_beta 90.00
_cell_angle_gamma 90.00
loop_
_atom_site_label
_atom_site_fract_x
_atom_site_fract_y
_atom_site_fract_z
_atom_site_occupancy
K1 0.000 0.000 0.000 1
K2 0.000 0.500 0.406 1
Rb1 0.000 0.000 0.191 1
Rb2 0.000 0.500 0.093 1
Au1 0.000 0.000 0.318 1
Au2 0.000 0.000 0.500 1
O1 0.000 0.000 0.095 1
```



No. 2
# KAuS2O8
Simulated X-ray diffraction stick pattern, Cu Ka. Input: a crystal structure in Alexandria, relaxed with PBE.

Largest 6 diffraction maxima, low angle first, 10 to 90 degrees two-theta:
6.085 Å, 14.6 deg, I 100
3.822 Å, 23.3 deg, I 52
3.243 Å, 27.5 deg, I 48
3.090 Å, 28.9 deg, I 47
2.187 Å, 41.3 deg, I 17
2.035 Å, 44.5 deg, I 27

```
data_KAuS2O8
_symmetry_space_group_name_H-M 'C 1 2/c 1'
_symmetry_Int_Tables_number 15
_symmetry_space_group_name_Hall '-C 2yc'
_cell_length_a 11.412
_cell_length_b 7.645
_cell_length_c 9.640
_cell_angle_alpha 90.00
_cell_angle_beta 118.28
_cell_angle_gamma 90.00
loop_
_atom_site_label
_atom_site_fract_x
_atom_site_fract_y
_atom_site_fract_z
_atom_site_occupancy
K1 0.000 0.010 0.250 1
Au1 0.000 0.500 0.000 1
S1 0.197 0.481 0.859 1
O1 0.114 0.394 0.217 1
O2 0.147 0.305 0.818 1
O3 0.162 0.010 0.586 1
O4 0.172 0.442 0.492 1
```



No. 3
# K6Au2SeO
Simulated X-ray diffraction stick pattern, Cu Ka. Input: a crystal structure in Alexandria, relaxed with PBE.

Largest 6 diffraction maxima, low angle first, 10 to 90 degrees two-theta:
5.669 Å, 15.6 deg, I 30
3.990 Å, 22.3 deg, I 100
3.216 Å, 27.7 deg, I 35
2.835 Å, 31.6 deg, I 34
2.516 Å, 35.7 deg, I 47
2.278 Å, 39.6 deg, I 36

```
data_K6Au2SeO
_symmetry_space_group_name_H-M 'P 1 21/c 1'
_symmetry_Int_Tables_number 14
_symmetry_space_group_name_Hall '-P 2ybc'
_cell_length_a 7.846
_cell_length_b 8.200
_cell_length_c 13.689
_cell_angle_alpha 90.00
_cell_angle_beta 124.86
_cell_angle_gamma 90.00
loop_
_atom_site_label
_atom_site_fract_x
_atom_site_fract_y
_atom_site_fract_z
_atom_site_occupancy
K1 0.129 0.035 0.226 1
K2 0.228 0.724 0.053 1
K3 0.323 0.179 0.047 1
Au1 0.271 0.064 0.751 1
Se1 0.500 0.000 0.500 1
O1 0.000 0.000 0.000 1
```